Entry 1:
The following is a simulated powder XRD pattern of La4Tb7Pm. It was derived from the PBE geometry in Alexandria, using Cu Ka.

Most intense lines, 2θ = 10–90°, by angle:
(hkl)  2θ/deg  I/Imax
1 0 4  30.13  100
0 0 12  30.26  33
0 1 8  34.97  67
1 1 0  50.20  24
1 0 16  50.38  24
0 2 4  59.72  43
0 1 20  59.90  14
2 0 8  62.64  12
2 1 4  81.65  12
1 2 8  84.28  11

a = 3.6348 Å, b = 3.6348 Å, c = 35.4379 Å
α = 90.00°, β = 90.00°, γ = 120.00°
Space group P-3m1 (No. 164)
Asymmetric unit:
La  0.3333  0.6667  0.1666
La  0.3333  0.6667  0.4162
Tb  0.0000  0.0000  0.2511
Tb  0.0000  0.0000  0.5000
Tb  0.3333  0.6667  0.6681
Tb  0.3333  0.6667  0.9178
Pm  0.0000  0.0000  0.0000

Entry 2:
The following is a simulated powder XRD pattern of LaTb3Pm6. It was derived from the PBE geometry in Alexandria, using Cu Ka.

Most intense lines, 2θ = 10–90°, by angle:
(hkl)  2θ/deg  I/Imax
1 1 3  28.66  64
3 0 0  30.97  100
1 0 4  31.69  17
2 1 4  40.90  15
2 2 3  42.70  22
1 3 4  48.64  11
4 1 3  53.68  22
3 3 0  55.09  19
3 0 6  56.12  12
6 0 0  64.55  12

a = 10.0018 Å, b = 10.0018 Å, c = 11.9450 Å
α = 90.00°, β = 90.00°, γ = 120.00°
Space group R32 (No. 155, hexagonal axes)
Asymmetric unit:
La  0.0000  0.0000  0.0000
Tb  0.0000  0.0000  0.2535
Tb  0.0000  0.0000  0.5000
Pm  0.0000  0.3289  0.0000
Pm  0.0000  0.6745  0.5000

Entry 3:
The following is a simulated powder XRD pattern of La6TbPm3. It was derived from the PBE geometry in Alexandria, using Cu Ka.

Most intense lines, 2θ = 10–90°, by angle:
(hkl)  2θ/deg  I/Imax
2 -1 3  28.06  63
3 0 0  30.56  100
1 0 4  30.91  19
3 -1 4  40.06  16
2 2 3  41.96  21
1 3 4  47.72  13
5 -1 3  52.80  21
3 3 0  54.32  19
3 0 6  54.81  12
6 0 0  63.62  12

a = 10.1330 Å, b = 10.1330 Å, c = 12.2569 Å
α = 90.00°, β = 90.00°, γ = 120.00°
Space group R-3 (No. 148, hexagonal axes)
Asymmetric unit:
La  0.0017  0.3249  0.2505
Tb  0.0000  0.0000  0.5000
Pm  0.0000  0.0000  0.0000
Pm  0.0000  0.0000  0.2506

Entry 4:
The following is a simulated powder XRD pattern of La7TbPm3. It was derived from the PBE geometry in Alexandria, using Cu Ka.

Most intense lines, 2θ = 10–90°, by angle:
(hkl)  2θ/deg  I/Imax
2 2 -1  22.60  9
1 3 0  24.38  17
2 0 1  27.42  8
2 0 -2  29.42  41
0 4 0  30.98  33
2 2 1  31.59  100
3 3 -2  38.54  8
2 4 -2  43.21  21
0 2 3  53.53  16
1 7 1  60.25  10

a = 13.011 Å, b = 11.561 Å, c = 6.073 Å
α = 90.00°, β = 117.64°, γ = 90.00°
Space group C2/m (No. 12)
Asymmetric unit:
La  0.000  0.000  0.000
La  0.196  0.292  0.697
La  0.211  0.500  0.210
Tb  0.000  0.000  0.500
Pm  0.000  0.293  0.000
Pm  0.000  0.500  0.500

Entry 5:
The following is a simulated powder XRD pattern of La2Tb4Pm. It was derived from the PBE geometry in Alexandria, using Cu Ka.

Most intense lines, 2θ = 10–90°, by angle:
(hkl)  2θ/deg  I/Imax
0 2 1  25.12  12
2 0 -2  31.54  100
2 0 2  31.67  33
2 2 0  32.24  69
0 4 0  46.11  13
4 0 0  46.37  13
2 2 -4  55.72  10
2 4 -2  56.96  19
4 2 -2  57.07  19
4 -2 2  57.22  12

a = 7.833 Å, b = 7.875 Å, c = 8.189 Å
α = 90.07°, β = 90.19°, γ = 90.01°
Space group P-1 (No. 2)
Asymmetric unit:
La  0.000  0.000  0.000
La  0.000  0.000  0.500
La  0.000  0.500  0.000
La  0.500  0.000  0.000
Tb  0.248  0.256  0.718
Tb  0.248  0.744  0.718
Tb  0.249  0.255  0.282
Tb  0.250  0.746  0.282
Pm  0.500  0.500  0.000
Pm  0.500  0.500  0.500

Entry 6:
The following is a simulated powder XRD pattern of La6Tb2Pm3. It was derived from the PBE geometry in Alexandria, using Cu Ka.

Most intense lines, 2θ = 10–90°, by angle:
(hkl)  2θ/deg  I/Imax
0 1 11  29.67  100
0 0 33  29.84  33
1 0 22  34.44  67
1 1 0  49.39  24
0 1 44  49.61  24
2 0 11  58.74  43
1 0 55  58.98  14
0 2 22  61.60  12
1 2 11  80.17  12
2 1 22  82.73  11

a = 3.6906 Å, b = 3.6906 Å, c = 98.8137 Å
α = 90.00°, β = 90.00°, γ = 120.00°
Space group R-3m (No. 166, hexagonal axes)
Asymmetric unit:
La  0.0000  0.0000  0.0914
La  0.0000  0.0000  0.1823
La  0.0000  0.0000  0.3638
Tb  0.0000  0.0000  0.4543
Pm  0.0000  0.0000  0.0000
Pm  0.0000  0.0000  0.2726

Entry 7:
The following is a simulated powder XRD pattern of La10Tb4Pm. It was derived from the PBE geometry in Alexandria, using Cu Ka.

Most intense lines, 2θ = 10–90°, by angle:
(hkl)  2θ/deg  I/Imax
2 0 2  27.13  47
3 2 1  29.92  43
4 0 0  30.80  100
2 2 2  31.28  96
3 1 2  33.17  30
3 3 2  39.96  32
4 4 0  44.12  29
4 0 4  55.97  31
4 4 4  65.28  28
7 3 2  65.55  24

a = 11.612 Å, b = 11.612 Å, c = 7.973 Å
α = 90.00°, β = 90.00°, γ = 90.00°
Space group I4/mmm (No. 139)
Asymmetric unit:
La  0.000  0.218  0.209
La  0.000  0.500  0.250
Tb  0.228  0.228  0.500
Pm  0.000  0.000  0.500

Entry 8:
The following is a simulated powder XRD pattern of La2Tb5Pm5. It was derived from the PBE geometry in Alexandria, using Cu Ka.

Most intense lines, 2θ = 10–90°, by angle:
(hkl)  2θ/deg  I/Imax
3 1 1  30.13  100
6 0 -2  34.84  17
0 2 0  34.98  34
6 0 2  50.20  24
0 2 4  50.30  12
9 1 -1  59.58  14
3 3 1  59.76  29
6 2 2  62.64  12
9 3 -5  81.64  9
0 4 4  84.43  8

a = 15.451 Å, b = 5.128 Å, c = 11.490 Å
α = 90.00°, β = 116.68°, γ = 90.00°
Space group C2/m (No. 12)
Asymmetric unit:
La  0.083  0.000  0.250
Tb  0.000  0.500  0.000
Tb  0.084  0.500  0.750
Tb  0.167  0.500  0.501
Pm  0.000  0.000  0.500
Pm  0.167  0.000  0.000
Pm  0.248  0.000  0.748

Entry 9:
The following is a simulated powder XRD pattern of La2Tb5Pm2. It was derived from the PBE geometry in Alexandria, using Cu Ka.

Most intense lines, 2θ = 10–90°, by angle:
(hkl)  2θ/deg  I/Imax
4 1 1  28.07  77
0 4 0  29.64  100
0 2 2  30.23  70
5 1 0  30.55  63
2 2 2  32.53  62
3 1 2  32.70  52
4 3 1  35.21  62
5 3 0  37.27  38
3 3 2  39.10  29
8 2 2  58.03  24

a = 15.080 Å, b = 12.057 Å, c = 6.784 Å
α = 90.00°, β = 90.00°, γ = 90.00°
Space group Ima2 (No. 46)
Asymmetric unit:
La  0.000  0.000  0.000
La  0.250  0.006  0.087
Tb  0.054  0.741  0.694
Tb  0.142  0.233  0.887
Tb  0.250  0.739  0.899
Pm  0.126  0.502  0.047

Entry 10:
The following is a simulated powder XRD pattern of LaTb6Pm4. It was derived from the PBE geometry in Alexandria, using Cu Ka.

Most intense lines, 2θ = 10–90°, by angle:
(hkl)  2θ/deg  I/Imax
1 1 4  28.12  44
2 0 2  28.68  65
1 0 5  29.29  29
2 1 1  30.37  100
0 0 6  31.32  26
2 0 4  34.03  74
1 1 6  36.78  33
2 2 0  38.10  31
2 1 5  40.04  34
1 1 10  57.13  50

a = 6.681 Å, b = 6.681 Å, c = 17.134 Å
α = 90.00°, β = 90.00°, γ = 90.00°
Space group I-42m (No. 121)
Asymmetric unit:
La  0.000  0.000  0.000
Tb  0.000  0.500  0.000
Tb  0.179  0.179  0.626
Pm  0.190  0.190  0.823

Entry 11:
The following is a simulated powder XRD pattern of LaTb5Pm12. It was derived from the PBE geometry in Alexandria, using Cu Ka.

Most intense lines, 2θ = 10–90°, by angle:
(hkl)  2θ/deg  I/Imax
0 0 2  29.50  25
0 6 0  30.34  31
3 3 1  31.58  100
1 3 2  34.20  10
0 6 2  42.83  18
3 3 3  53.66  13
3 9 -1  54.69  10
3 9 1  54.71  10
6 6 0  57.50  9
6 6 2  65.95  9

a = 11.461 Å, b = 17.673 Å, c = 6.056 Å
α = 90.00°, β = 90.07°, γ = 90.00°
Space group C2/m (No. 12)
Asymmetric unit:
La  0.000  0.000  0.000
Tb  0.000  0.172  0.500
Tb  0.000  0.327  0.000
Tb  0.000  0.500  0.500
Pm  0.164  0.500  0.968
Pm  0.169  0.000  0.534
Pm  0.177  0.335  0.556
Pm  0.180  0.166  0.942

Entry 12:
The following is a simulated powder XRD pattern of La8Tb3Pm2. It was derived from the PBE geometry in Alexandria, using Cu Ka.

Most intense lines, 2θ = 10–90°, by angle:
(hkl)  2θ/deg  I/Imax
2 0 -2  28.81  22
2 2 1  29.17  41
0 4 0  30.02  55
1 1 -2  30.24  27
4 2 -1  30.43  100
3 1 1  32.07  25
1 3 -2  37.17  17
2 4 -2  42.09  14
6 2 -3  52.82  18
4 6 -1  53.55  29

a = 13.696 Å, b = 11.907 Å, c = 6.209 Å
α = 90.00°, β = 113.48°, γ = 90.00°
Space group C2/m (No. 12)
Asymmetric unit:
La  0.083  0.000  0.243
La  0.138  0.500  0.612
La  0.164  0.262  0.155
Tb  0.000  0.232  0.500
Tb  0.000  0.500  0.000
Pm  0.188  0.000  0.831

Entry 13:
The following is a simulated powder XRD pattern of La5TbPm4. It was derived from the PBE geometry in Alexandria, using Cu Ka.

Most intense lines, 2θ = 10–90°, by angle:
(hkl)  2θ/deg  I/Imax
2 0 1  27.02  29
1 0 -2  30.47  43
0 2 -1  30.72  100
2 -1 1  30.90  75
-1 1 2  31.34  53
0 2 2  31.40  49
1 2 2  31.51  67
2 1 0  31.66  69
-1 2 1  31.80  36
1 0 3  32.47  67

a = 6.629 Å, b = 6.897 Å, c = 8.481 Å
α = 78.64°, β = 71.01°, γ = 87.16°
Space group P-1 (No. 2)
Asymmetric unit:
La  0.000  0.000  0.000
La  0.102  0.765  0.449
La  0.348  0.367  0.698
Tb  0.500  0.000  0.000
Pm  0.214  0.481  0.106
Pm  0.470  0.834  0.677